No. 1
Ca2ZrFeO6: theoretical powder X-ray diffraction pattern (λ = 1.5418 Å (Cu Kα)), based on a structure optimized by DFT (PBE+U).
Kinematic intensities with the Lorentz-polarization factor, no thermal factor.

Main lines, by intensity (2θ = 10–90°):
2θ/deg	Rel. int.	index
31.71	100.0	2 2 0
45.46	45.7	4 0 0
56.48	36.6	4 2 2
22.28	31.6	2 0 0
66.24	25.1	4 4 0
75.31	15.4	6 2 0
51.18	11.7	4 2 0
84.01	7.9	4 4 4
70.83	5.0	6 0 0
19.26	4.4	1 1 1
37.37	3.9	3 1 1
49.80	2.4	3 3 1

Structural model:
abc: 7.9815 7.9815 7.9815
angles: 90.00 90.00 90.00
Space group Fm-3m (No. 225)
Asymmetric unit:
Ca 0.2500 0.2500 0.2500 (multiplicity 8)
Zr 0.0000 0.0000 0.0000 (multiplicity 4)
Fe 0.0000 0.0000 0.5000 (multiplicity 4)
O 0.0000 0.0000 0.2583 (multiplicity 24)

=====

No. 2
Li2V3SnO8: theoretical powder X-ray diffraction pattern (λ = 1.5418 Å (Cu Kα)), based on a structure optimized by DFT (PBE+U).
Kinematic intensities with the Lorentz-polarization factor, no thermal factor.

Main lines, by intensity (2θ = 10–90°):
2θ/deg	Rel. int.	index
34.70	100.0	1 0 -3
34.81	50.8	1 2 1
20.73	50.5	0 0 2
29.61	35.8	2 0 0
18.03	33.6	1 0 1
29.50	30.9	1 -1 2
17.93	30.6	0 1 1
20.82	26.0	1 1 0
61.11	20.4	-2 2 4
55.68	18.8	1 0 -5
55.78	16.3	3 -2 1
46.14	15.7	2 1 -3

Structural model:
abc: 6.0390 6.0607 8.5639
angles: 90.10 90.36 90.29
Space group P1 (No. 1)
Asymmetric unit:
Li 0.0000 0.0000 0.0000 (multiplicity 1)
Li 0.2382 0.9990 0.6261 (multiplicity 1)
Li 0.4928 0.5025 0.5048 (multiplicity 1)
Li 0.7441 0.5037 0.1248 (multiplicity 1)
V 0.0109 0.5047 0.4988 (multiplicity 1)
V 0.2477 0.7466 0.2601 (multiplicity 1)
V 0.2532 0.2735 0.2624 (multiplicity 1)
V 0.5199 0.0053 0.9948 (multiplicity 1)
V 0.7496 0.2381 0.7576 (multiplicity 1)
V 0.7512 0.7604 0.7587 (multiplicity 1)
Sn 0.2615 0.5020 0.8856 (multiplicity 1)
Sn 0.7626 0.0040 0.3841 (multiplicity 1)
O 0.0184 0.4915 0.2570 (multiplicity 1)
O 0.0280 0.0068 0.2453 (multiplicity 1)
O 0.2298 0.2610 0.4790 (multiplicity 1)
O 0.2354 0.7348 0.4854 (multiplicity 1)
O 0.2553 0.2311 0.0187 (multiplicity 1)
O 0.2609 0.7751 0.0177 (multiplicity 1)
O 0.4619 0.4898 0.2489 (multiplicity 1)
O 0.4885 0.0096 0.2449 (multiplicity 1)
O 0.5062 0.9977 0.7693 (multiplicity 1)
O 0.5256 0.4980 0.7482 (multiplicity 1)
O 0.7187 0.2298 0.9939 (multiplicity 1)
O 0.7226 0.7701 0.9901 (multiplicity 1)
O 0.7535 0.2728 0.5173 (multiplicity 1)
O 0.7542 0.7318 0.5139 (multiplicity 1)
O 0.9639 0.0024 0.7555 (multiplicity 1)
O 0.9887 0.4995 0.7495 (multiplicity 1)

=====

No. 3
Ba2TaCrO6: theoretical powder X-ray diffraction pattern (λ = 1.5418 Å (Cu Kα)), based on a structure optimized by DFT (PBE+U).
Kinematic intensities with the Lorentz-polarization factor, no thermal factor.

Main lines, by intensity (2θ = 10–90°):
2θ/deg	Rel. int.	index
30.73	100.0	1 1 0
29.29	90.9	1 0 5
42.97	46.1	2 0 5
53.75	33.3	2 1 5
54.63	19.8	3 0 0
64.00	18.3	2 2 0
33.23	17.9	1 0 6
71.91	14.7	3 1 5
88.30	13.8	1 1 16
45.89	13.2	2 0 6
51.03	11.3	1 0 10
89.01	11.0	4 1 0

Structural model:
abc: 5.8195 5.8195 19.1464
angles: 90.00 90.00 120.00
Space group P6_3/mmc (No. 194)
Asymmetric unit:
Ba 0.0000 0.0000 0.0000 (multiplicity 2)
Ba 0.3333 0.6667 0.1421 (multiplicity 4)
Ba 0.3333 0.6667 0.7500 (multiplicity 2)
Ta 0.3333 0.6667 0.5634 (multiplicity 4)
Cr 0.0000 0.0000 0.1814 (multiplicity 4)
O 0.0000 0.5000 0.0000 (multiplicity 6)
O 0.1503 0.3006 0.2500 (multiplicity 6)
O 0.1707 0.3413 0.6201 (multiplicity 12)

=====

No. 4
Sr2CoMoO6: theoretical powder X-ray diffraction pattern (λ = 1.5418 Å (Cu Kα)), based on a structure optimized by DFT (PBE+U).
Kinematic intensities with the Lorentz-polarization factor, no thermal factor.

Main lines, by intensity (2θ = 10–90°):
2θ/deg	Rel. int.	index
31.54	100.0	2 0 0
31.67	49.4	2 2 -1
56.33	38.1	2 4 0
45.40	35.5	0 4 0
56.08	19.3	2 2 1
45.02	18.2	0 0 2
65.83	15.8	4 0 0
83.61	10.5	4 4 0
66.15	10.4	4 4 -2
75.13	10.4	0 6 1
74.57	8.5	2 0 2
38.94	7.8	2 2 0

Structural model:
abc: 7.9875 7.9949 5.6679
angles: 90.00 134.72 90.00
Space group C2/m (No. 12)
Asymmetric unit:
Sr 0.0000 0.2496 0.0000 (multiplicity 4)
Co 0.0000 0.0000 0.5000 (multiplicity 2)
Mo 0.0000 0.5000 0.5000 (multiplicity 2)
O 0.0000 0.2576 0.5000 (multiplicity 4)
O 0.2410 0.5000 0.9826 (multiplicity 4)
O 0.2435 0.5000 0.5016 (multiplicity 4)

=====

No. 5
MgMn2O4: theoretical powder X-ray diffraction pattern (λ = 1.5418 Å (Cu Kα)), based on a structure optimized by DFT (PBE+U).
Kinematic intensities with the Lorentz-polarization factor, no thermal factor.

Main lines, by intensity (2θ = 10–90°):
2θ/deg	Rel. int.	index
17.20	100.0	0 0 2
32.34	47.7	0 1 1
25.93	37.9	0 0 3
36.32	25.5	1 1 2
33.93	20.3	1 0 1
61.66	17.0	2 1 1
40.94	16.8	0 1 3
46.23	15.9	1 1 4
35.94	14.5	1 0 -1
40.51	13.2	1 0 3
35.77	12.3	0 1 2
40.11	12.0	1 1 -2

Structural model:
abc: 3.0076 3.2382 10.3992
angles: 86.50 82.50 62.55
Space group P1 (No. 1)
Asymmetric unit:
Mg 0.0000 0.0000 0.0000 (multiplicity 1)
Mn 0.5128 0.6830 0.2942 (multiplicity 1)
Mn 0.9966 0.2829 0.7368 (multiplicity 1)
O 0.1345 0.3636 0.3765 (multiplicity 1)
O 0.3534 0.3648 0.9232 (multiplicity 1)
O 0.7026 0.9196 0.6788 (multiplicity 1)
O 0.9201 0.9641 0.1898 (multiplicity 1)

=====

No. 6
LiV2F7: theoretical powder X-ray diffraction pattern (λ = 1.5418 Å (Cu Kα)), based on a structure optimized by DFT (PBE+U).
Kinematic intensities with the Lorentz-polarization factor, no thermal factor.

Main lines, by intensity (2θ = 10–90°):
2θ/deg	Rel. int.	index
22.02	100.0	2 1 0
26.77	35.8	3 1 0
23.88	34.9	0 0 2
24.13	30.2	1 0 -2
39.24	24.4	5 1 -1
40.31	23.2	1 1 -3
52.95	22.8	4 2 2
33.76	21.7	2 1 2
51.76	18.9	7 1 0
49.72	18.2	5 2 0
40.19	18.1	2 2 1
62.76	16.6	3 3 -2

Structural model:
abc: 13.2484 5.1071 7.4944
angles: 90.00 95.96 90.00
Space group P2_1/c (No. 14)
Asymmetric unit:
Li 0.0730 0.2411 0.3513 (multiplicity 4)
V 0.1823 0.7445 0.6653 (multiplicity 4)
V 0.3939 0.2492 0.7277 (multiplicity 4)
F 0.0591 0.5617 0.1944 (multiplicity 4)
F 0.1077 0.0621 0.0840 (multiplicity 4)
F 0.1763 0.5960 0.9159 (multiplicity 4)
F 0.2679 0.0437 0.7579 (multiplicity 4)
F 0.3113 0.5533 0.6456 (multiplicity 4)
F 0.3936 0.1296 0.4774 (multiplicity 4)
F 0.4802 0.5490 0.3046 (multiplicity 4)

=====

No. 7
Li7Mn5O12: theoretical powder X-ray diffraction pattern (λ = 1.5418 Å (Cu Kα)), based on a structure optimized by DFT (PBE+U).
Kinematic intensities with the Lorentz-polarization factor, no thermal factor.

Main lines, by intensity (2θ = 10–90°):
2θ/deg	Rel. int.	index
18.30	100.0	0 0 2
44.49	51.7	2 1 2
40.43	32.7	-2 2 2
36.38	23.0	0 3 -2
33.83	15.5	2 -2 0
61.65	15.0	2 -5 2
61.50	7.7	4 -1 0
61.87	7.3	0 3 4
65.09	7.1	2 4 -2
64.39	6.7	2 -2 6
18.77	5.5	0 1 -2
12.26	5.4	0 1 0

Structural model:
abc: 6.0570 7.8142 10.1666
angles: 105.95 92.82 104.57
Space group P-1 (No. 2)
Asymmetric unit:
Li 0.0000 0.0000 0.0000 (multiplicity 1)
Li 0.0715 0.3432 0.2581 (multiplicity 2)
Li 0.0901 0.3291 0.7431 (multiplicity 2)
Li 0.2534 0.0068 0.2543 (multiplicity 2)
Li 0.2706 0.9863 0.7341 (multiplicity 2)
Li 0.3962 0.6932 0.2710 (multiplicity 2)
Li 0.4118 0.6687 0.7482 (multiplicity 2)
Li 0.5000 0.0000 0.5000 (multiplicity 1)
Mn 0.0000 0.0000 0.5000 (multiplicity 1)
Mn 0.1603 0.6716 0.0023 (multiplicity 2)
Mn 0.1657 0.6718 0.5041 (multiplicity 2)
Mn 0.3303 0.3293 0.0006 (multiplicity 2)
Mn 0.3416 0.3265 0.4963 (multiplicity 2)
Mn 0.5000 0.0000 0.0000 (multiplicity 1)
O 0.0321 0.1953 0.8966 (multiplicity 2)
O 0.0579 0.1565 0.3791 (multiplicity 2)
O 0.1104 0.5021 0.1170 (multiplicity 2)
O 0.1108 0.5013 0.6172 (multiplicity 2)
O 0.1820 0.8447 0.3939 (multiplicity 2)
O 0.2191 0.8308 0.8877 (multiplicity 2)
O 0.2791 0.1684 0.6174 (multiplicity 2)
O 0.3205 0.1550 0.1015 (multiplicity 2)
O 0.3610 0.5207 0.9029 (multiplicity 2)
O 0.3857 0.4999 0.3809 (multiplicity 2)
O 0.4389 0.8387 0.1195 (multiplicity 2)
O 0.4411 0.8256 0.6209 (multiplicity 2)

=====

What did the fourth record say?
Sr2CoMoO6: theoretical powder X-ray diffraction pattern (λ = 1.5418 Å (Cu Kα)), based on a structure optimized by DFT (PBE+U).
Kinematic intensities with the Lorentz-polarization factor, no thermal factor.

Main lines, by intensity (2θ = 10–90°):
2θ/deg	Rel. int.	index
31.54	100.0	2 0 0
31.67	49.4	2 2 -1
56.33	38.1	2 4 0
45.40	35.5	0 4 0
56.08	19.3	2 2 1
45.02	18.2	0 0 2
65.83	15.8	4 0 0
83.61	10.5	4 4 0
66.15	10.4	4 4 -2
75.13	10.4	0 6 1
74.57	8.5	2 0 2
38.94	7.8	2 2 0

Structural model:
abc: 7.9875 7.9949 5.6679
angles: 90.00 134.72 90.00
Space group C2/m (No. 12)
Asymmetric unit:
Sr 0.0000 0.2496 0.0000 (multiplicity 4)
Co 0.0000 0.0000 0.5000 (multiplicity 2)
Mo 0.0000 0.5000 0.5000 (multiplicity 2)
O 0.0000 0.2576 0.5000 (multiplicity 4)
O 0.2410 0.5000 0.9826 (multiplicity 4)
O 0.2435 0.5000 0.5016 (multiplicity 4)